# Mg2As2O9
Calculated PXRD pattern, copper Kα. Input: the PBE geometry in the Materials Project.

Structural model:
a = 6.5268 Å, b = 14.5508 Å, c = 9.7144 Å
α = 90.00°, β = 127.13°, γ = 90.00°
Element x y z (fractional)
Mg (0.1868, 0.1233, 0.4169)
Mg (0.1868, 0.3767, 0.9169)
Mg (0.3026, 0.7434, 0.8533)
Mg (0.3026, 0.7566, 0.3533)
Mg (0.6974, 0.2434, 0.6467)
Mg (0.6974, 0.2566, 0.1467)
Mg (0.8132, 0.6233, 0.0831)
Mg (0.8132, 0.8767, 0.5831)
As (0.1118, 0.1783, 0.0539)
As (0.1118, 0.3217, 0.5539)
As (0.3890, 0.5787, 0.1553)
As (0.3890, 0.9213, 0.6553)
As (0.6110, 0.0787, 0.3447)
As (0.6110, 0.4213, 0.8447)
As (0.8882, 0.6783, 0.4461)
As (0.8882, 0.8217, 0.9461)
O (0.0023, 0.5085, 0.2522)
O (0.0023, 0.9915, 0.7522)
O (0.0298, 0.2022, 0.1877)
O (0.0298, 0.2978, 0.6877)
O (0.1439, 0.6553, 0.6496)
O (0.1439, 0.8447, 0.1496)
O (0.1962, 0.6437, 0.1817)
O (0.1962, 0.8563, 0.6817)
O (0.2864, 0.0292, 0.5983)
O (0.2864, 0.4708, 0.0983)
O (0.3019, 0.0748, 0.1358)
O (0.3019, 0.4252, 0.6358)
O (0.3177, 0.2391, 0.5747)
O (0.3177, 0.2609, 0.0747)
O (0.4515, 0.6352, 0.0294)
O (0.4515, 0.8648, 0.5294)
O (0.4964, 0.1629, 0.9340)
O (0.4964, 0.3371, 0.4340)
O (0.5036, 0.6629, 0.5660)
O (0.5036, 0.8371, 0.0660)
O (0.5485, 0.1352, 0.4706)
O (0.5485, 0.3648, 0.9706)
O (0.6823, 0.7391, 0.9253)
O (0.6823, 0.7609, 0.4253)
O (0.6981, 0.5748, 0.3642)
O (0.6981, 0.9252, 0.8642)
O (0.7136, 0.5292, 0.9017)
O (0.7136, 0.9708, 0.4017)
O (0.8038, 0.1437, 0.3183)
O (0.8038, 0.3563, 0.8183)
O (0.8561, 0.1553, 0.8504)
O (0.8561, 0.3447, 0.3504)
O (0.9702, 0.7022, 0.3123)
O (0.9702, 0.7978, 0.8123)
O (0.9977, 0.0085, 0.2478)
O (0.9977, 0.4915, 0.7478)

Most intense lines, 2θ from 10° to 90°, in order of rising 2θ:
index	2θ/deg	I_rel
0 2 1	16.72	100
1 2 -1	18.30	26
1 0 -2	18.55	49
0 3 1	21.62	30
1 3 -1	22.88	36
2 1 -2	28.11	22
0 3 2	29.52	62
2 2 -2	30.10	36
1 1 2	36.88	26
1 6 0	41.05	21